LiMnP4O12: simulated powder diffraction line list (copper Kα), based on a cell relaxed with PBE+U.
Kinematic intensities with the Lorentz-polarization factor, no thermal factor.

abc: 5.3023 13.4712 7.3230
angles: 90.00 101.57 90.00
Atoms (fractional coordinates):
Li 0.1520 0.0000 0.1144
Li 0.8480 0.5000 0.8856
Mn 0.0187 0.6762 0.5886
Mn 0.9813 0.1762 0.4114
P 0.2932 0.7864 0.9616
P 0.3512 0.1407 0.8129
P 0.4940 0.0373 0.4947
P 0.4940 0.3235 0.3764
P 0.5060 0.5373 0.5053
P 0.5060 0.8235 0.6236
P 0.6488 0.6407 0.1871
P 0.7068 0.2864 0.0384
O 0.1033 0.1657 0.6772
O 0.1446 0.8656 0.0323
O 0.1548 0.6975 0.8556
O 0.2229 0.3063 0.3946
O 0.2533 0.0812 0.3678
O 0.2641 0.5383 0.5787
O 0.3079 0.7485 0.5307
O 0.3291 0.0828 0.9800
O 0.4006 0.9273 0.5323
O 0.4575 0.5858 0.3019
O 0.4844 0.8357 0.8379
O 0.4986 0.7437 0.1360
O 0.5014 0.2437 0.8640
O 0.5156 0.3357 0.1621
O 0.5425 0.0858 0.6981
O 0.5994 0.4273 0.4677
O 0.6709 0.5828 0.0200
O 0.6921 0.2485 0.4693
O 0.7359 0.0383 0.4213
O 0.7467 0.5812 0.6322
O 0.7771 0.8063 0.6054
O 0.8452 0.1975 0.1444
O 0.8554 0.3656 0.9677
O 0.8967 0.6657 0.3228

Peak list (8 most intense, 5 to 70 degrees two-theta, sorted by position)
- 12.3°, rel. 558, (0 0 1)
- 13.1°, rel. 1000, (0 2 0)
- 14.0°, rel. 339, (0 1 1)
- 17.1°, rel. 282, (1 0 0)
- 23.2°, rel. 792, (1 2 -1)
- 24.0°, rel. 335, (1 1 1)
- 25.7°, rel. 289, (0 1 2)
- 31.7°, rel. 379, (1 4 0)